This entry pairs a crystal structure of CsFeCl3 with its theoretical powder diffractogram. Radiation: Cu Ka. Structure: a structure optimized by DFT (GGA-PBE).

Largest 12 diffraction maxima, sorted by position, 2θ = 10–80°:
d 4.346, I = 51
d 3.750, I = 59
d 2.924, I = 14
d 2.839, I = 100
d 2.667, I = 19
d 2.264, I = 13
d 2.173, I = 33
d 2.165, I = 13
d 1.880, I = 22
d 1.875, I = 28
d 1.671, I = 18
d 1.565, I = 14

Atomic structure:
Unit cell a=7.500 b=7.500 c=5.849 alpha=90.00 beta=90.00 gamma=120.00
Element x y z (fractional)
Cs  0.333  0.667  0.250
Cs  0.667  0.333  0.750
Fe  0.000  0.000  0.000
Fe  0.000  0.000  0.500
Cl  0.155  0.309  0.750
Cl  0.155  0.845  0.750
Cl  0.309  0.155  0.250
Cl  0.691  0.845  0.750
Cl  0.845  0.155  0.250
Cl  0.845  0.691  0.250